[1]
Structure and simulated X-ray powder pattern of KAgCO3 (a cell relaxed with PBE; Cu Ka).
No peak broadening, texture or thermal motion is included.

Main lines, low angle first (15 to 90 degrees two-theta):
2θ = 17.3°, rel. 34; 2θ = 26.0°, rel. 51; 2θ = 32.7°, rel. 79; 2θ = 34.7°, rel. 100; 2θ = 36.2°, rel. 37; 2θ = 36.9°, rel. 52; 2θ = 41.0°, rel. 27; 2θ = 46.6°, rel. 25; 2θ = 47.8°, rel. 27; 2θ = 53.3°, rel. 26

Structure:
abc: 11.052 11.052 11.052
angles: 150.24 149.19 43.36
Atoms (fractional coordinates):
K 0.068 0.318 0.750
K 0.432 0.182 0.250
K 0.568 0.818 0.750
K 0.932 0.682 0.250
Ag 0.130 0.250 0.380
Ag 0.370 0.750 0.120
Ag 0.630 0.250 0.880
Ag 0.870 0.750 0.620
C 0.122 0.872 0.250
C 0.378 0.628 0.750
C 0.622 0.372 0.250
C 0.878 0.128 0.750
O 0.013 0.045 0.254
O 0.059 0.809 0.250
O 0.210 0.455 0.468
O 0.290 0.759 0.246
O 0.441 0.691 0.750
O 0.487 0.741 0.032
O 0.513 0.259 0.968
O 0.559 0.309 0.250
O 0.710 0.241 0.754
O 0.790 0.545 0.532
O 0.941 0.191 0.750
O 0.987 0.955 0.746


[2]
Structure and simulated X-ray powder pattern of Ag2CN2 (a cell relaxed with PBE; Cu Ka).
No peak broadening, texture or thermal motion is included.

Main lines, low angle first (15 to 90 degrees two-theta):
2θ = 19.3°, rel. 64; 2θ = 32.2°, rel. 88; 2θ = 32.6°, rel. 100; 2θ = 33.2°, rel. 94; 2θ = 37.7°, rel. 54; 2θ = 39.1°, rel. 48; 2θ = 40.9°, rel. 45; 2θ = 41.1°, rel. 33; 2θ = 52.3°, rel. 24; 2θ = 55.4°, rel. 26

Structure:
abc: 7.323 6.024 6.633
angles: 90.00 101.98 90.00
Atoms (fractional coordinates):
Ag 0.000 0.000 0.000
Ag 0.000 0.000 0.500
Ag 0.000 0.500 0.000
Ag 0.000 0.500 0.500
Ag 0.325 0.190 0.322
Ag 0.325 0.310 0.822
Ag 0.675 0.690 0.178
Ag 0.675 0.810 0.678
C 0.295 0.688 0.310
C 0.295 0.812 0.810
C 0.705 0.188 0.190
C 0.705 0.312 0.690
N 0.186 0.522 0.293
N 0.186 0.978 0.793
N 0.405 0.659 0.823
N 0.405 0.841 0.323
N 0.595 0.159 0.677
N 0.595 0.341 0.177
N 0.814 0.022 0.207
N 0.814 0.478 0.707


[3]
Structure and simulated X-ray powder pattern of TlAgC2N2 (a cell relaxed with PBE; Cu Ka).
No peak broadening, texture or thermal motion is included.

Main lines, low angle first (15 to 90 degrees two-theta):
2θ = 20.6°, rel. 100; 2θ = 21.7°, rel. 54; 2θ = 25.8°, rel. 24; 2θ = 26.5°, rel. 36; 2θ = 29.0°, rel. 62; 2θ = 29.8°, rel. 37; 2θ = 30.4°, rel. 25; 2θ = 30.6°, rel. 27; 2θ = 31.2°, rel. 32; 2θ = 32.3°, rel. 63

Structure:
abc: 7.687 14.497 8.629
angles: 90.00 92.00 90.00
Atoms (fractional coordinates):
Tl 0.197 0.238 0.473
Tl 0.197 0.262 0.973
Tl 0.273 0.548 0.031
Tl 0.273 0.952 0.531
Tl 0.727 0.048 0.469
Tl 0.727 0.452 0.969
Tl 0.803 0.738 0.027
Tl 0.803 0.762 0.527
Ag 0.000 0.000 0.000
Ag 0.000 0.500 0.500
Ag 0.296 0.679 0.546
Ag 0.296 0.821 0.046
Ag 0.500 0.000 0.000
Ag 0.500 0.500 0.500
Ag 0.704 0.179 0.954
Ag 0.704 0.321 0.454
C 0.023 0.063 0.787
C 0.023 0.437 0.287
C 0.151 0.683 0.342
C 0.151 0.817 0.842
C 0.389 0.068 0.181
C 0.389 0.432 0.681
C 0.465 0.664 0.734
C 0.465 0.836 0.234
C 0.535 0.164 0.766
C 0.535 0.336 0.266
C 0.611 0.568 0.319
C 0.611 0.932 0.819
C 0.849 0.183 0.158
C 0.849 0.317 0.658
C 0.977 0.563 0.713
C 0.977 0.937 0.213
N 0.030 0.089 0.658
N 0.030 0.411 0.158
N 0.085 0.679 0.217
N 0.085 0.821 0.717
N 0.331 0.102 0.292
N 0.331 0.398 0.792
N 0.446 0.146 0.656
N 0.446 0.354 0.156
N 0.554 0.646 0.844
N 0.554 0.854 0.344
N 0.669 0.602 0.208
N 0.669 0.898 0.708
N 0.915 0.179 0.283
N 0.915 0.321 0.783
N 0.970 0.589 0.842
N 0.970 0.911 0.342


[4]
Structure and simulated X-ray powder pattern of Ag2CO3 (a cell relaxed with PBE; Cu Ka).
No peak broadening, texture or thermal motion is included.

Main lines, low angle first (15 to 90 degrees two-theta):
2θ = 19.1°, rel. 38; 2θ = 33.4°, rel. 66; 2θ = 34.6°, rel. 100; 2θ = 38.8°, rel. 12; 2θ = 43.0°, rel. 11; 2θ = 48.9°, rel. 33; 2θ = 52.1°, rel. 9; 2θ = 59.7°, rel. 10; 2θ = 60.5°, rel. 26; 2θ = 69.7°, rel. 12

Structure:
abc: 9.290 9.290 6.244
angles: 90.00 90.00 120.00
Atoms (fractional coordinates):
Ag 0.023 0.671 0.000
Ag 0.029 0.335 0.784
Ag 0.305 0.971 0.784
Ag 0.329 0.351 0.000
Ag 0.335 0.029 0.284
Ag 0.351 0.329 0.500
Ag 0.649 0.977 0.000
Ag 0.665 0.695 0.784
Ag 0.671 0.023 0.500
Ag 0.695 0.665 0.284
Ag 0.971 0.305 0.284
Ag 0.977 0.649 0.500
C 0.000 0.000 0.387
C 0.000 0.000 0.887
C 0.333 0.667 0.233
C 0.333 0.667 0.713
C 0.667 0.333 0.213
C 0.667 0.333 0.733
O 0.078 0.918 0.387
O 0.082 0.161 0.387
O 0.161 0.082 0.887
O 0.173 0.595 0.713
O 0.237 0.731 0.235
O 0.269 0.506 0.235
O 0.405 0.578 0.713
O 0.422 0.827 0.713
O 0.494 0.763 0.235
O 0.506 0.269 0.735
O 0.578 0.405 0.213
O 0.595 0.173 0.213
O 0.731 0.237 0.735
O 0.763 0.494 0.735
O 0.827 0.422 0.213
O 0.839 0.922 0.387
O 0.918 0.078 0.887
O 0.922 0.839 0.887


[5]
Structure and simulated X-ray powder pattern of Sc3AgC (a cell relaxed with PBE; Cu Ka).
No peak broadening, texture or thermal motion is included.

Main lines, low angle first (15 to 90 degrees two-theta):
2θ = 19.6°, rel. 16; 2θ = 27.9°, rel. 29; 2θ = 34.3°, rel. 100; 2θ = 39.8°, rel. 57; 2θ = 44.8°, rel. 9; 2θ = 49.3°, rel. 11; 2θ = 57.6°, rel. 35; 2θ = 68.8°, rel. 35; 2θ = 72.3°, rel. 11; 2θ = 79.2°, rel. 5

Structure:
abc: 4.527 4.527 4.527
angles: 90.00 90.00 90.00
Atoms (fractional coordinates):
Sc 0.000 0.000 0.500
Sc 0.000 0.500 0.000
Sc 0.500 0.000 0.000
Ag 0.500 0.500 0.500
C 0.000 0.000 0.000


[6]
Structure and simulated X-ray powder pattern of Sc3AgC (a cell relaxed with PBE; Cu Ka).
No peak broadening, texture or thermal motion is included.

Main lines, low angle first (15 to 90 degrees two-theta):
2θ = 19.8°, rel. 15; 2θ = 27.9°, rel. 19; 2θ = 28.1°, rel. 15; 2θ = 34.4°, rel. 100; 2θ = 39.5°, rel. 22; 2θ = 40.2°, rel. 34; 2θ = 49.6°, rel. 10; 2θ = 57.5°, rel. 12; 2θ = 57.7°, rel. 10; 2θ = 58.1°, rel. 8

Structure:
abc: 6.347 6.351 6.395
angles: 119.74 119.56 90.11
Atoms (fractional coordinates):
Sc 0.211 0.212 0.013
Sc 0.255 0.768 0.500
Sc 0.284 0.694 0.978
Sc 0.716 0.306 0.022
Sc 0.745 0.232 0.500
Sc 0.789 0.788 0.987
Ag 0.251 0.247 0.500
Ag 0.749 0.753 0.500
C 0.000 0.500 0.000
C 0.500 0.000 0.000


[7]
Structure and simulated X-ray powder pattern of Ag4CSe (a cell relaxed with PBE; Cu Ka).
No peak broadening, texture or thermal motion is included.

Main lines, low angle first (15 to 90 degrees two-theta):
2θ = 25.5°, rel. 19; 2θ = 29.5°, rel. 97; 2θ = 32.2°, rel. 30; 2θ = 38.5°, rel. 45; 2θ = 42.0°, rel. 54; 2θ = 42.4°, rel. 100; 2θ = 52.5°, rel. 18; 2θ = 61.2°, rel. 17; 2θ = 77.3°, rel. 17; 2θ = 81.9°, rel. 23

Structure:
abc: 7.472 7.472 7.472
angles: 33.16 33.16 33.16
Atoms (fractional coordinates):
Ag 0.104 0.104 0.104
Ag 0.363 0.363 0.363
Ag 0.637 0.637 0.637
Ag 0.896 0.896 0.896
C 0.000 0.000 0.000
Se 0.500 0.500 0.500


[8]
Structure and simulated X-ray powder pattern of CdAg15 (a cell relaxed with PBE; Cu Ka).
No peak broadening, texture or thermal motion is included.

Main lines, low angle first (15 to 90 degrees two-theta):
2θ = 36.2°, rel. 29; 2θ = 36.2°, rel. 29; 2θ = 37.5°, rel. 100; 2θ = 37.6°, rel. 42; 2θ = 38.2°, rel. 81; 2θ = 42.3°, rel. 37; 2θ = 43.9°, rel. 44; 2θ = 44.1°, rel. 55; 2θ = 64.0°, rel. 33; 2θ = 75.0°, rel. 26

Structure:
abc: 8.250 2.943 37.281
angles: 90.00 90.02 90.00
Atoms (fractional coordinates):
Cd 0.125 0.250 0.203
Cd 0.875 0.750 0.797
Ag 0.125 0.250 0.284
Ag 0.125 0.250 0.362
Ag 0.125 0.250 0.441
Ag 0.125 0.250 0.520
Ag 0.125 0.250 0.599
Ag 0.125 0.250 0.678
Ag 0.127 0.250 0.758
Ag 0.375 0.750 0.322
Ag 0.375 0.750 0.401
Ag 0.375 0.750 0.480
Ag 0.375 0.750 0.559
Ag 0.375 0.750 0.638
Ag 0.375 0.750 0.716
Ag 0.375 0.750 0.795
Ag 0.377 0.750 0.242
Ag 0.623 0.250 0.758
Ag 0.625 0.250 0.205
Ag 0.625 0.250 0.284
Ag 0.625 0.250 0.362
Ag 0.625 0.250 0.441
Ag 0.625 0.250 0.520
Ag 0.625 0.250 0.599
Ag 0.625 0.250 0.678
Ag 0.873 0.750 0.242
Ag 0.875 0.750 0.322
Ag 0.875 0.750 0.401
Ag 0.875 0.750 0.480
Ag 0.875 0.750 0.559
Ag 0.875 0.750 0.638
Ag 0.875 0.750 0.716


[9]
Structure and simulated X-ray powder pattern of CdAg15 (a cell relaxed with PBE; Cu Ka).
No peak broadening, texture or thermal motion is included.

Main lines, low angle first (15 to 90 degrees two-theta):
2θ = 36.2°, rel. 58; 2θ = 37.6°, rel. 100; 2θ = 37.7°, rel. 42; 2θ = 38.2°, rel. 82; 2θ = 42.4°, rel. 37; 2θ = 43.8°, rel. 45; 2θ = 44.1°, rel. 55; 2θ = 62.6°, rel. 22; 2θ = 75.0°, rel. 20; 2θ = 76.4°, rel. 36

Structure:
abc: 5.070 37.285 5.071
angles: 90.00 109.22 90.00
Atoms (fractional coordinates):
Cd 0.000 0.203 0.250
Cd 0.000 0.797 0.750
Ag 0.000 0.243 0.750
Ag 0.000 0.284 0.250
Ag 0.000 0.322 0.750
Ag 0.000 0.362 0.250
Ag 0.000 0.401 0.750
Ag 0.000 0.441 0.250
Ag 0.000 0.480 0.750
Ag 0.000 0.520 0.250
Ag 0.000 0.559 0.750
Ag 0.000 0.599 0.250
Ag 0.000 0.638 0.750
Ag 0.000 0.678 0.250
Ag 0.000 0.716 0.750
Ag 0.000 0.757 0.250
Ag 0.500 0.205 0.750
Ag 0.500 0.243 0.250
Ag 0.500 0.283 0.750
Ag 0.500 0.322 0.250
Ag 0.500 0.362 0.750
Ag 0.500 0.401 0.250
Ag 0.500 0.441 0.750
Ag 0.500 0.480 0.250
Ag 0.500 0.520 0.750
Ag 0.500 0.559 0.250
Ag 0.500 0.599 0.750
Ag 0.500 0.638 0.250
Ag 0.500 0.678 0.750
Ag 0.500 0.717 0.250
Ag 0.500 0.757 0.750
Ag 0.500 0.795 0.250


[10]
Structure and simulated X-ray powder pattern of CdAg15 (a cell relaxed with PBE; Cu Ka).
No peak broadening, texture or thermal motion is included.

Main lines, low angle first (15 to 90 degrees two-theta):
2θ = 37.4°, rel. 100; 2θ = 38.6°, rel. 24; 2θ = 42.8°, rel. 15; 2θ = 43.8°, rel. 33; 2θ = 62.9°, rel. 18; 2θ = 63.6°, rel. 11; 2θ = 64.4°, rel. 8; 2θ = 76.2°, rel. 23; 2θ = 76.9°, rel. 10; 2θ = 79.7°, rel. 9

Structure:
abc: 5.848 2.926 46.507
angles: 90.00 90.02 90.00
Atoms (fractional coordinates):
Cd 0.125 0.250 0.339
Cd 0.875 0.750 0.661
Ag 0.124 0.250 0.799
Ag 0.125 0.250 0.067
Ag 0.125 0.250 0.157
Ag 0.125 0.250 0.246
Ag 0.125 0.250 0.709
Ag 0.125 0.250 0.888
Ag 0.125 0.250 0.978
Ag 0.374 0.750 0.201
Ag 0.375 0.750 0.022
Ag 0.375 0.750 0.112
Ag 0.375 0.750 0.291
Ag 0.375 0.750 0.664
Ag 0.375 0.750 0.754
Ag 0.375 0.750 0.843
Ag 0.375 0.750 0.933
Ag 0.625 0.250 0.067
Ag 0.625 0.250 0.157
Ag 0.625 0.250 0.246
Ag 0.625 0.250 0.336
Ag 0.625 0.250 0.709
Ag 0.625 0.250 0.888
Ag 0.625 0.250 0.978
Ag 0.626 0.250 0.799
Ag 0.875 0.750 0.022
Ag 0.875 0.750 0.112
Ag 0.875 0.750 0.291
Ag 0.875 0.750 0.754
Ag 0.875 0.750 0.843
Ag 0.875 0.750 0.933
Ag 0.876 0.750 0.201